Starting from a DFT-relaxed cell (PBE+U, Alexandria), the powder diffraction line list of Cs4CaMn3F12 was calculated for Cu Kα.

Top 10 peaks for 10 to 80 degrees two-theta, in order of rising 2θ:
2θ/deg, I/Imax
20.0, 13.3
28.4, 100.0
35.0, 26.8
40.7, 40.7
45.7, 7.1
50.4, 40.1
58.8, 25.0
66.6, 17.5
70.3, 9.0
74.0, 8.0

Atomic structure:
a = 7.6883 Å, b = 7.6883 Å, c = 7.6883 Å
α = 109.47°, β = 109.47°, γ = 109.47°
Positions (direct):
Cs (0.0000, 0.0000, 0.5000)
Cs (0.0000, 0.5000, 0.0000)
Cs (0.5000, 0.0000, 0.0000)
Cs (0.5000, 0.5000, 0.5000)
Ca (0.0000, 0.0000, 0.0000)
Mn (0.0000, 0.5000, 0.5000)
Mn (0.5000, 0.0000, 0.5000)
Mn (0.5000, 0.5000, 0.0000)
F (0.0000, 0.2577, 0.2577)
F (0.0000, 0.7423, 0.7423)
F (0.2500, 0.5000, 0.7500)
F (0.2500, 0.7500, 0.5000)
F (0.2577, 0.0000, 0.2577)
F (0.2577, 0.2577, 0.0000)
F (0.5000, 0.2500, 0.7500)
F (0.5000, 0.7500, 0.2500)
F (0.7423, 0.0000, 0.7423)
F (0.7423, 0.7423, 0.0000)
F (0.7500, 0.2500, 0.5000)
F (0.7500, 0.5000, 0.2500)